Starting from a crystal structure in Alexandria, relaxed with GGA+U, the powder XRD pattern of MoPtPbO6 was computed for λ = 1.5418 Å (Cu Kα).
Kinematic intensities with the Lorentz-polarization factor, no thermal factor.

Crystal structure
a b c (Å): 4.922 4.922 9.842
angles (deg): 90.00 90.00 90.00
Space group P4_2nm (No. 102)
Asymmetric unit:
Mo 0.000 0.000 0.000 (multiplicity 2)
Pt 0.000 0.000 0.661 (multiplicity 2)
Pb 0.000 0.000 0.332 (multiplicity 2)
O 0.166 0.166 0.833 (multiplicity 4)
O 0.209 0.209 0.133 (multiplicity 4)
O 0.218 0.218 0.515 (multiplicity 4)

Main lines, low angle first (2θ from 10° to 90°):
d_spacing	Rel. int.	index
3.481	1000	1 1 0
2.730	886	1 0 3
2.461	291	2 0 0
1.828	682	2 1 3
1.740	179	2 2 0
1.557	172	3 1 0
1.484	175	1 1 6
1.467	197	3 0 3
1.260	165	3 2 3
1.122	142	4 1 3